For UCd3O6, a structure optimized by DFT (GGA-PBE) gives the simulated XRD peak list in this record (Cu Kα X-rays).

Structure:
a b c (Å): 9.5928 9.5928 11.3767
angles (deg): 90.00 90.00 120.00
Space group R-3 (No. 148, hexagonal axes)
Unique sites:
1 U 0.0000 0.0000 0.0000
2 U 0.0000 0.0000 0.5000
3 Cd 0.0400 0.7715 0.2103
4 O 0.0208 0.8369 0.8878
5 O 0.0266 0.8296 0.4005

The 10 most intense peaks (2θ = 10–90°), by intensity:
| Position (°2θ) | I/Imax |
| --- | --- |
| 32.57 | 100 |
| 26.57 | 65 |
| 29.51 | 61 |
| 42.90 | 41 |
| 50.33 | 39 |
| 18.91 | 39 |
| 32.33 | 34 |
| 30.04 | 32 |
| 33.30 | 29 |
| 51.01 | 28 |


For U7Cd3O20, a structure optimized by DFT (GGA-PBE) gives the simulated XRD peak list in this record (Cu Kα X-rays).

Structure:
a b c (Å): 6.5903 19.1260 6.5480
angles (deg): 90.00 109.68 90.00
Space group C2/m (No. 12)
Unique sites:
1 U 0.0000 0.0000 0.0000
2 U 0.0000 0.1003 0.5000
3 U 0.0000 0.3011 0.5000
4 U 0.0000 0.4000 0.0000
5 Cd 0.0000 0.2026 0.0000
6 Cd 0.0000 0.5000 0.5000
7 O 0.1019 0.0000 0.3618
8 O 0.1058 0.3037 0.8499
9 O 0.1284 0.0994 0.8718
10 O 0.1317 0.4017 0.3718
11 O 0.1370 0.1976 0.4036
12 O 0.1367 0.5000 0.8983

The 10 most intense peaks (2θ = 10–90°), by intensity:
| Position (°2θ) | I/Imax |
| --- | --- |
| 28.65 | 100 |
| 33.33 | 70 |
| 28.97 | 51 |
| 28.77 | 50 |
| 47.74 | 33 |
| 47.99 | 33 |
| 56.77 | 23 |
| 57.07 | 22 |
| 47.54 | 17 |
| 48.11 | 16 |